The following is a computed X-ray diffraction stick pattern of Ca4Hg3Pd2. It was derived from a GGA-PBE-relaxed structure, using Cu Ka.

The 6 most intense peaks (2θ = 15–90°), sorted by position:
(0 0 2), 2θ = 17.35°, d 5.110, I 27.8
(0 1 1), 2θ = 22.15°, d 4.014, I 76.2
(0 1 3), 2θ = 33.37°, d 2.685, I 83.4
(1 1 0), 2θ = 35.63°, d 2.520, I 100.0
(2 0 3), 2θ = 49.61°, d 1.837, I 27.1
(1 2 3), 2θ = 62.57°, d 1.485, I 26.8

Crystal structure
a b c (Å): 5.0394 5.0394 10.2195
angles (deg): 90.00 90.00 120.00
Positions (direct):
Ca 0.0000 0.0000 0.1760
Ca 0.0000 0.0000 0.8240
Ca 0.3333 0.6667 0.3859
Ca 0.6667 0.3333 0.6141
Hg 0.0000 0.0000 0.5000
Hg 0.3333 0.6667 0.9727
Hg 0.6667 0.3333 0.0273
Pd 0.3333 0.6667 0.6867
Pd 0.6667 0.3333 0.3133